For MgFe4Cu2O8, the GGA+U geometry in the Materials Project gives the calculated XRD peak list in this record (CuKα).

The 8 most intense peaks (15 to 90 degrees two-theta), sorted by position:
d/Å, Position (°2θ), Rel. int.
4.813, 18.43, 45.7
2.618, 34.26, 63.7
2.610, 34.36, 56.4
2.540, 35.33, 100.0
2.180, 41.41, 60.3
2.145, 42.12, 66.0
1.948, 46.63, 96.5
1.718, 53.33, 50.0

Atomic structure:
```
data_MgFe4Cu2O8
_space_group_name_H-M_alt 'P 1'
_space_group_IT_number 1
_space_group_name_Hall 'P 1'
_cell_length_a 6.135
_cell_length_b 6.135
_cell_length_c 6.593
_cell_angle_alpha 122.36
_cell_angle_beta 122.36
_cell_angle_gamma 56.56
loop_
_atom_site_label
_atom_site_fract_x
_atom_site_fract_y
_atom_site_fract_z
Mg1 0.000 0.000 0.000
Fe1 0.232 0.232 0.506
Fe2 0.500 0.500 0.000
Fe3 0.500 0.500 0.500
Fe4 0.768 0.768 0.494
Cu1 0.000 0.500 0.000
Cu2 0.500 0.000 0.000
O1 0.181 0.667 0.683
O2 0.243 0.243 0.200
O3 0.267 0.267 0.832
O4 0.333 0.819 0.317
O5 0.667 0.181 0.683
O6 0.733 0.733 0.168
O7 0.757 0.757 0.800
O8 0.819 0.333 0.317
```

For U2NiP2O22, the GGA+U geometry in the Materials Project gives the calculated XRD peak list in this record (CuKα).

The 8 most intense peaks (15 to 90 degrees two-theta), sorted by position:
d/Å, Position (°2θ), Rel. int.
4.695, 18.90, 23.2
4.663, 19.03, 100.0
4.449, 19.95, 34.9
3.495, 25.49, 41.5
3.438, 25.91, 25.0
3.309, 26.95, 43.7
3.276, 27.23, 40.1
2.504, 35.86, 24.2

Atomic structure:
```
data_U2NiP2O22
_space_group_name_H-M_alt 'P 1'
_space_group_IT_number 1
_space_group_name_Hall 'P 1'
_cell_length_a 6.992
_cell_length_b 18.781
_cell_length_c 9.682
_cell_angle_alpha 90.00
_cell_angle_beta 133.73
_cell_angle_gamma 90.00
loop_
_atom_site_label
_atom_site_fract_x
_atom_site_fract_y
_atom_site_fract_z
U1 0.084 0.197 0.056
U2 0.084 0.303 0.556
U3 0.916 0.697 0.444
U4 0.916 0.803 0.944
Ni1 0.500 0.000 0.000
Ni2 0.500 0.500 0.500
P1 0.417 0.749 0.945
P2 0.417 0.751 0.445
P3 0.583 0.249 0.555
P4 0.583 0.251 0.055
O1 0.076 0.206 0.554
O2 0.076 0.294 0.054
O3 0.116 0.101 0.077
O4 0.116 0.399 0.577
O5 0.215 0.549 0.293
O6 0.215 0.951 0.793
O7 0.229 0.701 0.433
O8 0.229 0.799 0.933
O9 0.233 0.061 0.834
O10 0.233 0.439 0.334
O11 0.253 0.702 0.763
O12 0.253 0.798 0.263
O13 0.327 0.543 0.101
O14 0.327 0.957 0.601
O15 0.387 0.204 0.039
O16 0.387 0.296 0.539
O17 0.403 0.536 0.668
O18 0.403 0.964 0.168
O19 0.428 0.199 0.381
O20 0.428 0.301 0.881
O21 0.463 0.013 0.657
O22 0.463 0.487 0.157
O23 0.537 0.513 0.843
O24 0.537 0.987 0.343
O25 0.572 0.699 0.119
O26 0.572 0.801 0.619
O27 0.597 0.036 0.832
O28 0.597 0.464 0.332
O29 0.613 0.704 0.461
O30 0.613 0.796 0.961
O31 0.673 0.043 0.399
O32 0.673 0.457 0.899
O33 0.747 0.202 0.737
O34 0.747 0.298 0.237
O35 0.767 0.561 0.666
O36 0.767 0.939 0.166
O37 0.771 0.201 0.067
O38 0.771 0.299 0.567
O39 0.785 0.049 0.207
O40 0.785 0.451 0.707
O41 0.884 0.601 0.423
O42 0.884 0.899 0.923
O43 0.924 0.706 0.946
O44 0.924 0.794 0.446
```

For Mn2ZnO4, the GGA+U geometry in the Materials Project gives the calculated XRD peak list in this record (CuKα).

The 8 most intense peaks (15 to 90 degrees two-theta), sorted by position:
d/Å, Position (°2θ), Rel. int.
3.089, 28.91, 42.4
3.076, 29.03, 31.3
2.709, 33.07, 29.7
2.699, 33.19, 95.7
2.547, 35.24, 100.0
2.540, 35.34, 74.1
2.535, 35.41, 26.0
1.544, 59.89, 50.1

Atomic structure:
```
data_Mn2ZnO4
_space_group_name_H-M_alt 'P 1'
_space_group_IT_number 1
_space_group_name_Hall 'P 1'
_cell_length_a 5.913
_cell_length_b 6.197
_cell_length_c 14.908
_cell_angle_alpha 86.08
_cell_angle_beta 89.80
_cell_angle_gamma 61.57
loop_
_atom_site_label
_atom_site_fract_x
_atom_site_fract_y
_atom_site_fract_z
Mn1 0.000 0.000 0.000
Mn2 0.000 0.499 0.999
Mn3 0.161 0.177 0.666
Mn4 0.337 0.327 0.335
Mn5 0.340 0.821 0.332
Mn6 0.497 0.008 0.878
Mn7 0.500 0.499 0.999
Mn8 0.501 0.997 0.500
Mn9 0.661 0.177 0.667
Mn10 0.663 0.672 0.665
Mn11 0.837 0.329 0.212
Mn12 0.839 0.821 0.332
Zn1 0.161 0.672 0.785
Zn2 0.165 0.669 0.543
Zn3 0.171 0.658 0.167
Zn4 0.503 0.988 0.120
Zn5 0.828 0.342 0.831
Zn6 0.837 0.326 0.457
O1 0.018 0.963 0.257
O2 0.022 0.499 0.260
O3 0.133 0.200 0.930
O4 0.162 0.676 0.408
O5 0.163 0.656 0.923
O6 0.200 0.150 0.415
O7 0.321 0.817 0.072
O8 0.323 0.355 0.074
O9 0.345 0.310 0.588
O10 0.353 0.844 0.584
O11 0.480 0.497 0.259
O12 0.488 0.022 0.739
O13 0.512 0.977 0.256
O14 0.514 0.507 0.742
O15 0.651 0.148 0.413
O16 0.657 0.685 0.409
O17 0.678 0.640 0.926
O18 0.681 0.185 0.928
O19 0.802 0.844 0.584
O20 0.835 0.347 0.075
O21 0.839 0.322 0.591
O22 0.863 0.803 0.070
O23 0.976 0.506 0.741
O24 0.982 0.034 0.744
```

For PrVO3, the GGA+U geometry in the Materials Project gives the calculated XRD peak list in this record (CuKα).

The 8 most intense peaks (15 to 90 degrees two-theta), sorted by position:
d/Å, Position (°2θ), Rel. int.
3.936, 22.59, 20.4
2.783, 32.16, 100.0
2.272, 39.66, 24.1
1.968, 46.13, 33.2
1.760, 51.95, 10.7
1.607, 57.34, 38.3
1.392, 67.28, 19.5
1.245, 76.54, 16.3

Atomic structure:
```
data_PrVO3
_space_group_name_H-M_alt 'P 1'
_space_group_IT_number 1
_space_group_name_Hall 'P 1'
_cell_length_a 3.936
_cell_length_b 3.936
_cell_length_c 3.936
_cell_angle_alpha 90.00
_cell_angle_beta 90.00
_cell_angle_gamma 90.00
loop_
_atom_site_label
_atom_site_fract_x
_atom_site_fract_y
_atom_site_fract_z
Pr1 0.000 0.000 0.000
V1 0.500 0.500 0.500
O1 0.000 0.500 0.500
O2 0.500 0.000 0.500
O3 0.500 0.500 0.000
```

For Na3Ni2P2C2O14, the GGA+U geometry in the Materials Project gives the calculated XRD peak list in this record (CuKα).

The 8 most intense peaks (15 to 90 degrees two-theta), sorted by position:
d/Å, Position (°2θ), Rel. int.
5.244, 16.91, 100.0
4.393, 20.22, 49.0
4.024, 22.09, 55.2
3.411, 26.12, 73.6
3.243, 27.50, 94.3
2.631, 34.07, 35.9
2.565, 34.98, 52.0
2.365, 38.06, 39.5

Atomic structure:
```
data_Na3Ni2P2C2O14
_space_group_name_H-M_alt 'P 1'
_space_group_IT_number 1
_space_group_name_Hall 'P 1'
_cell_length_a 8.912
_cell_length_b 6.487
_cell_length_c 10.265
_cell_angle_alpha 90.00
_cell_angle_beta 91.61
_cell_angle_gamma 90.00
loop_
_atom_site_label
_atom_site_fract_x
_atom_site_fract_y
_atom_site_fract_z
Na1 0.000 0.216 0.000
Na2 0.000 0.784 0.500
Na3 0.502 0.264 0.255
Na4 0.502 0.736 0.755
Na5 0.504 0.264 0.757
Na6 0.504 0.736 0.257
Ni1 0.602 0.002 0.486
Ni2 0.602 0.998 0.986
Ni3 0.909 0.500 0.269
Ni4 0.909 0.500 0.769
P1 0.682 0.499 0.018
P2 0.682 0.501 0.518
P3 0.830 0.001 0.235
P4 0.830 0.999 0.735
C1 0.179 0.497 0.733
C2 0.179 0.503 0.233
C3 0.331 0.002 0.519
C4 0.331 0.998 0.019
O1 0.077 0.497 0.139
O2 0.077 0.503 0.639
O3 0.122 0.490 0.847
O4 0.122 0.510 0.347
O5 0.193 0.001 0.538
O6 0.193 0.999 0.038
O7 0.318 0.498 0.714
O8 0.318 0.502 0.214
O9 0.390 0.002 0.404
O10 0.390 0.998 0.904
O11 0.432 0.003 0.614
O12 0.432 0.997 0.114
O13 0.579 0.312 0.982
O14 0.579 0.688 0.482
O15 0.582 0.314 0.480
O16 0.582 0.686 0.980
O17 0.679 0.004 0.307
O18 0.679 0.996 0.807
O19 0.714 0.499 0.169
O20 0.714 0.501 0.669
O21 0.790 0.003 0.086
O22 0.790 0.997 0.586
O23 0.831 0.491 0.947
O24 0.831 0.509 0.447
O25 0.926 0.186 0.776
O26 0.926 0.814 0.276
O27 0.931 0.189 0.266
O28 0.931 0.811 0.766
```